For InCo2AsO6, DFT lattice parameters and positions (PBE+U) gives the calculated PXRD pattern in this record (Cu Kα X-rays).
Neutral-atom scattering factors, no anomalous dispersion.

Principal peaks in the range 2θ = 15–90°, sorted by position:
- 2θ = 17.68°, I = 33, hkl 0 0 1
- 2θ = 24.43°, I = 12, hkl 1 1 0
- 2θ = 30.32°, I = 100, hkl 1 1 1
- 2θ = 34.82°, I = 35, hkl 2 0 0
- 2θ = 39.97°, I = 7, hkl 1 0 2
- 2θ = 43.82°, I = 21, hkl 1 1 2
- 2θ = 50.07°, I = 24, hkl 2 2 0
- 2θ = 50.80°, I = 19, hkl 2 0 2
- 2θ = 59.66°, I = 27, hkl 3 1 1
- 2θ = 66.68°, I = 11, hkl 2 0 3
- 2θ = 68.69°, I = 10, hkl 3 1 2
- 2θ = 73.51°, I = 7, hkl 4 0 0

Structure:
```
InCo2AsO6
1.0
5.153 0.000 0.000
0.000 5.153 0.000
0.000 0.000 5.017
In Co As O
1 2 1 6
direct
0.000 0.000 0.000 In
0.000 0.500 0.409 Co
0.500 0.000 0.409 Co
0.500 0.500 0.074 As
0.000 0.000 0.605 O
0.264 0.264 0.207 O
0.264 0.736 0.207 O
0.500 0.500 0.736 O
0.736 0.264 0.207 O
0.736 0.736 0.207 O
```